[1]
# Ni2PRhO6
Computed powder X-ray diffraction pattern, Cu Kα X-rays. Input: a PBE+U-relaxed structure.
Peak positions follow from Bragg's law for the DFT cell and can differ from measured ones.

Most intense lines, 2θ = 10–90°, by intensity:
21.9°, intensity 100
32.1°, intensity 88
33.0°, intensity 74
51.0°, intensity 57
47.4°, intensity 55
72.1°, intensity 38
58.4°, intensity 30
52.8°, intensity 29
16.3°, intensity 24
43.5°, intensity 17
40.0°, intensity 16
69.2°, intensity 15

Cell: 5.4284 5.4284 4.0530 Å, 90.00 90.00 90.00°
Sites, in units of the cell vectors:
Ni1 0.0000 0.5000 0.0000
Ni2 0.5000 0.0000 0.0000
P1 0.0000 0.0000 0.7435
Rh1 0.5000 0.5000 0.7572
O1 0.0000 0.0000 0.3745
O2 0.2165 0.2165 0.8670
O3 0.2165 0.7835 0.8670
O4 0.5000 0.5000 0.2707
O5 0.7835 0.2165 0.8670
O6 0.7835 0.7835 0.8670

[2]
# NiSbP2O9
Computed powder X-ray diffraction pattern, Cu Kα X-rays. Input: a PBE+U-relaxed structure.
Peak positions follow from Bragg's law for the DFT cell and can differ from measured ones.

Most intense lines, 2θ = 10–90°, by intensity:
16.9°, intensity 100
18.9°, intensity 64
23.3°, intensity 59
17.8°, intensity 51
30.8°, intensity 50
12.6°, intensity 47
27.9°, intensity 32
32.8°, intensity 30
29.5°, intensity 28
34.5°, intensity 26
55.7°, intensity 23
18.8°, intensity 22

Cell: 14.0281 6.4017 7.9414 Å, 90.00 90.00 90.00°
Sites, in units of the cell vectors:
Ni1 0.0000 0.0000 0.0000
Ni2 0.0000 0.5000 0.0000
Ni3 0.5000 0.0000 0.5000
Ni4 0.5000 0.5000 0.5000
Sb1 0.1192 0.2500 0.3429
Sb2 0.3808 0.7500 0.8429
Sb3 0.6192 0.2500 0.1571
Sb4 0.8808 0.7500 0.6571
P1 0.0577 0.7500 0.3436
P2 0.1913 0.7500 0.9116
P3 0.3087 0.2500 0.4116
P4 0.4423 0.2500 0.8436
P5 0.5577 0.7500 0.1564
P6 0.6913 0.7500 0.5884
P7 0.8087 0.2500 0.0884
P8 0.9423 0.2500 0.6564
O1 0.0061 0.7500 0.1739
O2 0.0111 0.2500 0.5057
O3 0.0387 0.2500 0.1467
O4 0.1262 0.5606 0.3587
O5 0.1262 0.9394 0.3587
O6 0.1330 0.5500 0.9344
O7 0.1330 0.9500 0.9344
O8 0.2179 0.2500 0.5334
O9 0.2470 0.7500 0.7371
O10 0.2530 0.2500 0.2371
O11 0.2821 0.7500 0.0334
O12 0.3670 0.0500 0.4344
O13 0.3670 0.4500 0.4344
O14 0.3738 0.0606 0.8587
O15 0.3738 0.4394 0.8587
O16 0.4613 0.7500 0.6467
O17 0.4889 0.7500 0.0057
O18 0.4939 0.2500 0.6739
O19 0.5061 0.7500 0.3261
O20 0.5111 0.2500 0.9943
O21 0.5387 0.2500 0.3533
O22 0.6262 0.5606 0.1413
O23 0.6262 0.9394 0.1413
O24 0.6330 0.5500 0.5656
O25 0.6330 0.9500 0.5656
O26 0.7179 0.2500 0.9666
O27 0.7470 0.7500 0.7629
O28 0.7530 0.2500 0.2629
O29 0.7821 0.7500 0.4666
O30 0.8670 0.0500 0.0656
O31 0.8670 0.4500 0.0656
O32 0.8738 0.0606 0.6413
O33 0.8738 0.4394 0.6413
O34 0.9613 0.7500 0.8533
O35 0.9889 0.7500 0.4943
O36 0.9939 0.2500 0.8261

[3]
# SiNi2P4O14
Computed powder X-ray diffraction pattern, Cu Kα X-rays. Input: a PBE+U-relaxed structure.
Peak positions follow from Bragg's law for the DFT cell and can differ from measured ones.

Most intense lines, 2θ = 10–90°, by intensity:
26.3°, intensity 100
10.7°, intensity 76
24.0°, intensity 25
30.2°, intensity 23
29.8°, intensity 22
34.0°, intensity 18
31.8°, intensity 17
28.1°, intensity 11
66.4°, intensity 9
35.7°, intensity 9
48.6°, intensity 8
41.6°, intensity 8

Cell: 8.8960 8.8960 12.3477 Å, 102.94 102.94 32.51°
Sites, in units of the cell vectors:
Si1 0.1562 0.8438 0.7500
Si2 0.8438 0.1562 0.2500
Ni1 0.0963 0.3988 0.6290
Ni2 0.3988 0.0963 0.1290
Ni3 0.6012 0.9037 0.8710
Ni4 0.9037 0.6012 0.3710
P1 0.0285 0.6990 0.0834
P2 0.2382 0.5079 0.8628
P3 0.3010 0.9715 0.4166
P4 0.4921 0.7618 0.6372
P5 0.5079 0.2382 0.3628
P6 0.6990 0.0285 0.5834
P7 0.7618 0.4921 0.1372
P8 0.9715 0.3010 0.9166
O1 0.0011 0.3876 0.2075
O2 0.0285 0.0977 0.8329
O3 0.0977 0.0285 0.3329
O4 0.1215 0.6882 0.9807
O5 0.1662 0.2414 0.4556
O6 0.2009 0.5097 0.3785
O7 0.2414 0.1662 0.9556
O8 0.2696 0.4187 0.1308
O9 0.3027 0.6048 0.8211
O10 0.3118 0.8785 0.5193
O11 0.3876 0.0011 0.7075
O12 0.3952 0.6973 0.6789
O13 0.4187 0.2696 0.6308
O14 0.4903 0.7991 0.1215
O15 0.5097 0.2009 0.8785
O16 0.5813 0.7304 0.3692
O17 0.6048 0.3027 0.3211
O18 0.6124 0.9989 0.2925
O19 0.6882 0.1215 0.4807
O20 0.6973 0.3952 0.1789
O21 0.7304 0.5813 0.8692
O22 0.7586 0.8338 0.0444
O23 0.7991 0.4903 0.6215
O24 0.8338 0.7586 0.5444
O25 0.8785 0.3118 0.0193
O26 0.9023 0.9715 0.6671
O27 0.9715 0.9023 0.1671
O28 0.9989 0.6124 0.7925

[4]
# SrNiPO4
Computed powder X-ray diffraction pattern, Cu Kα X-rays. Input: a PBE+U-relaxed structure.
Peak positions follow from Bragg's law for the DFT cell and can differ from measured ones.

Most intense lines, 2θ = 10–90°, by intensity:
34.8°, intensity 100
28.7°, intensity 94
30.4°, intensity 65
22.1°, intensity 49
43.8°, intensity 34
51.4°, intensity 31
42.2°, intensity 24
24.1°, intensity 23
26.7°, intensity 21
35.8°, intensity 20
51.9°, intensity 18
49.3°, intensity 18

Cell: 5.5625 6.2243 5.8088 Å, 90.00 108.02 90.00°
Sites, in units of the cell vectors:
Sr1 0.2403 0.2500 0.4953
Sr2 0.7597 0.7500 0.5047
Ni1 0.4166 0.2500 0.0810
Ni2 0.5834 0.7500 0.9190
P1 0.2048 0.7500 0.1159
P2 0.7952 0.2500 0.8841
O1 0.0549 0.2500 0.8379
O2 0.1824 0.7500 0.8420
O3 0.3617 0.5498 0.2459
O4 0.3617 0.9502 0.2459
O5 0.6383 0.0498 0.7541
O6 0.6383 0.4502 0.7541
O7 0.8176 0.2500 0.1580
O8 0.9451 0.7500 0.1621

[5]
# SrNi2PO
Computed powder X-ray diffraction pattern, Cu Kα X-rays. Input: a PBE+U-relaxed structure.
Peak positions follow from Bragg's law for the DFT cell and can differ from measured ones.

Most intense lines, 2θ = 10–90°, by intensity:
35.6°, intensity 100
43.2°, intensity 37
58.5°, intensity 28
37.6°, intensity 28
74.3°, intensity 22
21.2°, intensity 19
66.5°, intensity 15
75.5°, intensity 13
62.7°, intensity 11
43.5°, intensity 6
28.3°, intensity 5
48.6°, intensity 4

Cell: 4.1908 4.1908 4.7881 Å, 90.00 90.00 90.00°
Sites, in units of the cell vectors:
Sr1 0.0000 0.0000 0.0000
Ni1 0.0000 0.5000 0.5000
Ni2 0.5000 0.0000 0.5000
P1 0.5000 0.5000 0.0000
O1 0.0000 0.0000 0.5000

[6]
# Sr2ZnNi2P4O16
Computed powder X-ray diffraction pattern, Cu Kα X-rays. Input: a PBE+U-relaxed structure.
Peak positions follow from Bragg's law for the DFT cell and can differ from measured ones.

Most intense lines, 2θ = 10–90°, by intensity:
34.4°, intensity 100
13.5°, intensity 95
27.7°, intensity 85
25.5°, intensity 77
17.2°, intensity 77
34.7°, intensity 74
27.3°, intensity 72
32.3°, intensity 68
24.2°, intensity 58
12.6°, intensity 53
23.6°, intensity 51
20.6°, intensity 45

Cell: 5.7700 7.9073 9.2292 Å, 102.51 102.21 110.83°
Sites, in units of the cell vectors:
Sr1 0.0000 0.0000 0.0000
Sr2 0.2894 0.5912 0.2959
Zn1 0.3790 0.5354 0.6995
Ni1 0.4435 0.1833 0.4545
Ni2 0.7818 0.4401 0.8245
P1 0.3829 0.7569 0.0096
P2 0.6024 0.4714 0.0440
P3 0.6696 0.0720 0.6009
P4 0.9321 0.2323 0.4024
O1 0.0869 0.1714 0.3005
O2 0.0946 0.4466 0.4986
O3 0.1972 0.5807 0.8621
O4 0.2376 0.7933 0.1247
O5 0.3373 0.3322 0.0413
O6 0.4554 0.3016 0.6455
O7 0.4930 0.8609 0.5445
O8 0.5387 0.9311 0.9735
O9 0.5945 0.6843 0.1054
O10 0.6499 0.1918 0.3167
O11 0.7410 0.6690 0.8267
O12 0.8031 0.1745 0.7758
O13 0.8364 0.6889 0.4783
O14 0.8386 0.4803 0.1594
O15 0.9066 0.1055 0.5211
O16 0.9713 0.7753 0.6170

[7]
# SrZnNiP2O8
Computed powder X-ray diffraction pattern, Cu Kα X-rays. Input: a PBE+U-relaxed structure.
Peak positions follow from Bragg's law for the DFT cell and can differ from measured ones.

Most intense lines, 2θ = 10–90°, by intensity:
27.8°, intensity 100
30.6°, intensity 63
31.8°, intensity 56
33.1°, intensity 43
33.4°, intensity 40
34.0°, intensity 28
10.5°, intensity 24
46.3°, intensity 24
29.4°, intensity 23
21.7°, intensity 16
50.5°, intensity 16
57.3°, intensity 15

Cell: 5.4738 6.9658 9.3661 Å, 110.66 101.80 98.13°
Sites, in units of the cell vectors:
Sr1 0.2453 0.2988 0.0497
Sr2 0.7547 0.7012 0.9503
Zn1 0.0136 0.1185 0.3543
Zn2 0.9864 0.8815 0.6457
Ni1 0.3620 0.6475 0.4389
Ni2 0.6380 0.3525 0.5611
P1 0.1572 0.4766 0.6976
P2 0.3986 0.9238 0.2352
P3 0.6014 0.0762 0.7648
P4 0.8428 0.5234 0.3024
O1 0.0054 0.7503 0.4221
O2 0.0477 0.3840 0.3032
O3 0.1956 0.9459 0.1043
O4 0.2637 0.4966 0.8667
O5 0.3294 0.0279 0.7891
O6 0.3393 0.7018 0.2369
O7 0.3784 0.0909 0.3964
O8 0.3781 0.5459 0.6302
O9 0.6219 0.4541 0.3698
O10 0.6216 0.9091 0.6036
O11 0.6607 0.2982 0.7631
O12 0.6706 0.9721 0.2109
O13 0.7363 0.5034 0.1333
O14 0.8044 0.0541 0.8957
O15 0.9523 0.6160 0.6968
O16 0.9946 0.2497 0.5779

[8]
# NiTeP2O9
Computed powder X-ray diffraction pattern, Cu Kα X-rays. Input: a PBE+U-relaxed structure.
Peak positions follow from Bragg's law for the DFT cell and can differ from measured ones.

Most intense lines, 2θ = 10–90°, by intensity:
16.9°, intensity 100
18.9°, intensity 91
23.2°, intensity 56
30.8°, intensity 48
17.8°, intensity 48
12.7°, intensity 41
27.9°, intensity 29
32.8°, intensity 29
29.5°, intensity 26
34.4°, intensity 26
55.7°, intensity 25
31.2°, intensity 21

Cell: 13.9824 6.3925 7.9711 Å, 90.00 90.00 90.00°
Sites, in units of the cell vectors:
Ni1 0.0000 0.0000 0.0000
Ni2 0.0000 0.5000 0.0000
Ni3 0.5000 0.0000 0.5000
Ni4 0.5000 0.5000 0.5000
Te1 0.1207 0.2500 0.3447
Te2 0.3793 0.7500 0.8447
Te3 0.6207 0.2500 0.1553
Te4 0.8793 0.7500 0.6553
P1 0.0547 0.7500 0.3420
P2 0.1915 0.7500 0.9211
P3 0.3085 0.2500 0.4211
P4 0.4453 0.2500 0.8420
P5 0.5547 0.7500 0.1580
P6 0.6915 0.7500 0.5789
P7 0.8085 0.2500 0.0789
P8 0.9453 0.2500 0.6580
O1 0.0014 0.7500 0.1769
O2 0.0107 0.2500 0.5007
O3 0.0394 0.2500 0.1619
O4 0.1246 0.5607 0.3604
O5 0.1246 0.9393 0.3604
O6 0.1381 0.5484 0.9452
O7 0.1381 0.9516 0.9452
O8 0.2085 0.2500 0.5347
O9 0.2483 0.2500 0.2428
O10 0.2517 0.7500 0.7428
O11 0.2915 0.7500 0.0347
O12 0.3619 0.0484 0.4452
O13 0.3619 0.4516 0.4452
O14 0.3754 0.0607 0.8604
O15 0.3754 0.4393 0.8604
O16 0.4606 0.7500 0.6619
O17 0.4893 0.7500 0.0007
O18 0.4986 0.2500 0.6769
O19 0.5014 0.7500 0.3231
O20 0.5107 0.2500 0.9993
O21 0.5394 0.2500 0.3381
O22 0.6246 0.5607 0.1396
O23 0.6246 0.9393 0.1396
O24 0.6381 0.5484 0.5548
O25 0.6381 0.9516 0.5548
O26 0.7085 0.2500 0.9653
O27 0.7483 0.2500 0.2572
O28 0.7517 0.7500 0.7572
O29 0.7915 0.7500 0.4653
O30 0.8619 0.0484 0.0548
O31 0.8619 0.4516 0.0548
O32 0.8754 0.0607 0.6396
O33 0.8754 0.4393 0.6396
O34 0.9606 0.7500 0.8381
O35 0.9893 0.7500 0.4993
O36 0.9986 0.2500 0.8231

[9]
# Ni5TeP6O24
Computed powder X-ray diffraction pattern, Cu Kα X-rays. Input: a PBE+U-relaxed structure.
Peak positions follow from Bragg's law for the DFT cell and can differ from measured ones.

Most intense lines, 2θ = 10–90°, by intensity:
20.6°, intensity 100
24.4°, intensity 67
33.2°, intensity 62
36.1°, intensity 41
47.7°, intensity 33
56.6°, intensity 29
49.9°, intensity 24
20.9°, intensity 21
63.1°, intensity 19
57.0°, intensity 16
29.5°, intensity 13
25.4°, intensity 12

Cell: 8.5166 8.5166 8.5166 Å, 60.73 60.73 60.73°
Sites, in units of the cell vectors:
Ni1 0.0000 0.0000 0.0000
Ni2 0.1349 0.1349 0.1349
Ni3 0.3529 0.3529 0.3529
Ni4 0.4951 0.4951 0.4951
Ni5 0.6361 0.6361 0.6361
Te1 0.8522 0.8522 0.8522
P1 0.0429 0.4476 0.7371
P2 0.2503 0.9432 0.5315
P3 0.4476 0.7371 0.0429
P4 0.5315 0.2503 0.9432
P5 0.7371 0.0429 0.4476
P6 0.9432 0.5315 0.2503
O1 0.0090 0.6115 0.8074
O2 0.0253 0.2647 0.9088
O3 0.0720 0.9442 0.7369
O4 0.0986 0.5020 0.3098
O5 0.1815 0.9772 0.3818
O6 0.2481 0.4225 0.5992
O7 0.2647 0.9088 0.0253
O8 0.3098 0.0986 0.5020
O9 0.3818 0.1815 0.9772
O10 0.3914 0.7391 0.5742
O11 0.4225 0.5992 0.2481
O12 0.5020 0.3098 0.0986
O13 0.5203 0.6420 0.8993
O14 0.5742 0.3914 0.7391
O15 0.5992 0.2481 0.4225
O16 0.6115 0.8074 0.0090
O17 0.6420 0.8993 0.5203
O18 0.7369 0.0720 0.9442
O19 0.7391 0.5742 0.3914
O20 0.8074 0.0090 0.6115
O21 0.8993 0.5203 0.6420
O22 0.9088 0.0253 0.2647
O23 0.9442 0.7369 0.0720
O24 0.9772 0.3818 0.1815

Copy entry 1 word for word.
# Ni2PRhO6
Computed powder X-ray diffraction pattern, Cu Kα X-rays. Input: a PBE+U-relaxed structure.
Peak positions follow from Bragg's law for the DFT cell and can differ from measured ones.

Most intense lines, 2θ = 10–90°, by intensity:
21.9°, intensity 100
32.1°, intensity 88
33.0°, intensity 74
51.0°, intensity 57
47.4°, intensity 55
72.1°, intensity 38
58.4°, intensity 30
52.8°, intensity 29
16.3°, intensity 24
43.5°, intensity 17
40.0°, intensity 16
69.2°, intensity 15

Cell: 5.4284 5.4284 4.0530 Å, 90.00 90.00 90.00°
Sites, in units of the cell vectors:
Ni1 0.0000 0.5000 0.0000
Ni2 0.5000 0.0000 0.0000
P1 0.0000 0.0000 0.7435
Rh1 0.5000 0.5000 0.7572
O1 0.0000 0.0000 0.3745
O2 0.2165 0.2165 0.8670
O3 0.2165 0.7835 0.8670
O4 0.5000 0.5000 0.2707
O5 0.7835 0.2165 0.8670
O6 0.7835 0.7835 0.8670

Copy entry 9 word for word.
# Ni5TeP6O24
Computed powder X-ray diffraction pattern, Cu Kα X-rays. Input: a PBE+U-relaxed structure.
Peak positions follow from Bragg's law for the DFT cell and can differ from measured ones.

Most intense lines, 2θ = 10–90°, by intensity:
20.6°, intensity 100
24.4°, intensity 67
33.2°, intensity 62
36.1°, intensity 41
47.7°, intensity 33
56.6°, intensity 29
49.9°, intensity 24
20.9°, intensity 21
63.1°, intensity 19
57.0°, intensity 16
29.5°, intensity 13
25.4°, intensity 12

Cell: 8.5166 8.5166 8.5166 Å, 60.73 60.73 60.73°
Sites, in units of the cell vectors:
Ni1 0.0000 0.0000 0.0000
Ni2 0.1349 0.1349 0.1349
Ni3 0.3529 0.3529 0.3529
Ni4 0.4951 0.4951 0.4951
Ni5 0.6361 0.6361 0.6361
Te1 0.8522 0.8522 0.8522
P1 0.0429 0.4476 0.7371
P2 0.2503 0.9432 0.5315
P3 0.4476 0.7371 0.0429
P4 0.5315 0.2503 0.9432
P5 0.7371 0.0429 0.4476
P6 0.9432 0.5315 0.2503
O1 0.0090 0.6115 0.8074
O2 0.0253 0.2647 0.9088
O3 0.0720 0.9442 0.7369
O4 0.0986 0.5020 0.3098
O5 0.1815 0.9772 0.3818
O6 0.2481 0.4225 0.5992
O7 0.2647 0.9088 0.0253
O8 0.3098 0.0986 0.5020
O9 0.3818 0.1815 0.9772
O10 0.3914 0.7391 0.5742
O11 0.4225 0.5992 0.2481
O12 0.5020 0.3098 0.0986
O13 0.5203 0.6420 0.8993
O14 0.5742 0.3914 0.7391
O15 0.5992 0.2481 0.4225
O16 0.6115 0.8074 0.0090
O17 0.6420 0.8993 0.5203
O18 0.7369 0.0720 0.9442
O19 0.7391 0.5742 0.3914
O20 0.8074 0.0090 0.6115
O21 0.8993 0.5203 0.6420
O22 0.9088 0.0253 0.2647
O23 0.9442 0.7369 0.0720
O24 0.9772 0.3818 0.1815